This entry pairs a crystal structure of GdDy2TmAl2 with its theoretical X-ray powder pattern. Radiation: Cu Kα (weighted mean of Kα1 and Kα2). Structure: a crystal structure in OQMD, relaxed with PBE.
Kinematic intensities with the Lorentz-polarization factor, no thermal factor.

Crystal structure
```
GdDy2TmAl2
1.0
5.2255 0.0000 0.0000
-2.6128 4.5255 0.0000
0.0000 0.0000 6.6417
Gd Dy Tm Al
1 2 1 2
Cartesian
0.0000 0.0000 0.0000
2.6128 1.5085 1.6838
2.6128 1.5085 4.9579
0.0000 3.0170 3.3208
0.0000 0.0000 3.3208
0.0000 3.0170 0.0000
```

Largest 8 diffraction maxima, in order of rising 2θ, 2θ from 5° to 70°:
Position (°2θ), d_spacing, I (rel.)
19.62, 4.525, 12
23.79, 3.740, 49
33.47, 2.677, 100
34.32, 2.613, 88
48.70, 1.870, 35
60.93, 1.521, 36
61.47, 1.508, 16
66.75, 1.401, 25

***

This entry pairs a crystal structure of Dy2AlHg5 with its theoretical X-ray powder pattern. Radiation: Cu Kα (weighted mean of Kα1 and Kα2). Structure: a crystal structure in OQMD, relaxed with PBE.
Kinematic intensities with the Lorentz-polarization factor, no thermal factor.

Crystal structure
```
Dy2AlHg5
1.0
4.9182 0.0000 0.0000
0.0000 3.3189 5.6816
0.0000 -3.3189 5.6816
Dy Al Hg
2 1 5
Cartesian
0.0000 0.0000 0.0000
2.4591 0.0000 3.7393
0.0000 0.0000 5.8329
0.0000 -1.6633 8.4976
0.0000 1.6633 8.4976
2.4591 -1.5907 6.5166
2.4591 1.5907 6.5166
2.4591 0.0000 9.4158
```

Largest 8 diffraction maxima, in order of rising 2θ, 2θ from 5° to 70°:
Position (°2θ), d_spacing, I (rel.)
31.21, 2.866, 22
31.49, 2.841, 15
36.28, 2.476, 100
36.53, 2.460, 74
55.90, 1.645, 18
65.61, 1.423, 18
68.17, 1.376, 24
68.65, 1.367, 20

***

This entry pairs a crystal structure of Dy2Al3Hg3 with its theoretical X-ray powder pattern. Radiation: Cu Kα (weighted mean of Kα1 and Kα2). Structure: a crystal structure in OQMD, relaxed with PBE.
Kinematic intensities with the Lorentz-polarization factor, no thermal factor.

Crystal structure
```
Dy2Al3Hg3
1.0
4.8625 0.0000 0.0000
0.0000 3.2254 5.5234
0.0000 -3.2254 5.5234
Dy Al Hg
2 3 3
Cartesian
0.0000 0.0000 0.0000
2.4312 0.0000 3.7280
0.0000 -1.4299 8.2897
0.0000 1.4299 8.2897
2.4312 0.0000 9.0998
0.0000 0.0000 5.5742
2.4312 -1.6192 6.5957
2.4312 1.6192 6.5957
```

Largest 8 diffraction maxima, in order of rising 2θ, 2θ from 5° to 70°:
Position (°2θ), d_spacing, I (rel.)
16.05, 5.523, 45
24.37, 3.653, 29
32.14, 2.785, 33
33.34, 2.688, 26
36.97, 2.431, 36
37.20, 2.417, 100
37.45, 2.401, 57
49.78, 1.832, 19

***

This entry pairs a crystal structure of Dy2Al3Hg3 with its theoretical X-ray powder pattern. Radiation: Cu Kα (weighted mean of Kα1 and Kα2). Structure: a crystal structure in OQMD, relaxed with PBE.
Kinematic intensities with the Lorentz-polarization factor, no thermal factor.

Crystal structure
```
Dy2Al3Hg3
1.0
6.2909 0.0000 0.0000
0.0000 4.8278 0.0000
-2.9679 0.0000 5.7004
Dy Al Hg
2 3 3
Cartesian
0.0000 0.0000 0.0000
-0.0761 2.4139 4.0344
1.6521 2.4139 1.2644
3.1453 2.4139 3.6865
4.5570 0.0000 2.8613
1.4848 0.0000 2.9880
3.0683 0.0000 0.2665
4.8096 2.4139 1.1638
```

Largest 8 diffraction maxima, in order of rising 2θ, 2θ from 5° to 70°:
Position (°2θ), d_spacing, I (rel.)
16.31, 5.435, 17
24.67, 3.609, 40
27.03, 3.298, 19
32.08, 2.790, 21
32.94, 2.719, 21
36.61, 2.454, 71
37.23, 2.415, 100
38.00, 2.368, 59

***

This entry pairs a crystal structure of Dy5Ho2Al with its theoretical X-ray powder pattern. Radiation: Cu Kα (weighted mean of Kα1 and Kα2). Structure: a crystal structure in OQMD, relaxed with PBE.
Kinematic intensities with the Lorentz-polarization factor, no thermal factor.

Crystal structure
```
Dy5Ho2Al
1.0
5.5006 0.0000 0.0000
0.0000 3.5157 6.0853
0.0000 -3.5157 6.0853
Dy Ho Al
5 2 1
Cartesian
0.0000 0.0000 0.0000
0.0000 -1.7068 9.1006
0.0000 1.7068 9.1006
2.7503 -1.7964 5.0978
2.7503 1.7964 5.0978
0.0000 0.0000 6.1448
2.7503 0.0000 1.9857
2.7503 0.0000 8.1141
```

Largest 8 diffraction maxima, in order of rising 2θ, 2θ from 5° to 70°:
Position (°2θ), d_spacing, I (rel.)
29.34, 3.044, 25
32.56, 2.750, 24
33.65, 2.663, 100
44.39, 2.041, 16
52.04, 1.757, 20
58.79, 1.571, 20
62.75, 1.481, 22
63.42, 1.467, 16

***

This entry pairs a crystal structure of DyHoAl2I2 with its theoretical X-ray powder pattern. Radiation: Cu Kα (weighted mean of Kα1 and Kα2). Structure: a crystal structure in OQMD, relaxed with PBE.
Kinematic intensities with the Lorentz-polarization factor, no thermal factor.

Crystal structure
```
DyHoAl2I2
1.0
4.2791 0.0000 0.0000
-2.1395 3.7058 0.0000
0.0000 0.0000 12.0835
Dy Ho Al I
1 1 2 2
Cartesian
0.0000 0.0000 0.0000
0.0000 0.0000 4.0559
0.0000 2.4705 2.2377
2.1395 1.2353 1.8326
0.0000 2.4705 10.1283
2.1395 1.2353 5.9980
```

Largest 8 diffraction maxima, in order of rising 2θ, 2θ from 5° to 70°:
Position (°2θ), d_spacing, I (rel.)
14.66, 6.042, 31
25.14, 3.543, 63
28.25, 3.159, 34
32.84, 2.727, 100
42.24, 2.140, 44
44.98, 2.015, 23
54.51, 1.683, 24
63.43, 1.466, 25